This entry pairs a crystal structure of Al10ZnO16 with its computed powder diffraction line list. Radiation: Cu Kα, 1.54184 Å. Structure: a structure optimized by DFT (PBE).
Kinematic intensities with the Lorentz-polarization factor, no thermal factor.

Unit cell a=9.7089 b=9.7089 c=9.7089 alpha=34.24 beta=34.24 gamma=34.24
Sites, in units of the cell vectors:
Al  0.0000  0.0000  0.0000
Al  0.0548  0.5703  0.5703
Al  0.0559  0.0559  0.5614
Al  0.0559  0.5614  0.0559
Al  0.1208  0.1208  0.1208
Al  0.3094  0.3094  0.3094
Al  0.5030  0.5030  0.5030
Al  0.5614  0.0559  0.0559
Al  0.5703  0.0548  0.5703
Al  0.5703  0.5703  0.0548
Zn  0.6210  0.6210  0.6210
O  0.1865  0.1865  0.1865
O  0.1882  0.6934  0.6934
O  0.1994  0.1994  0.6616
O  0.1994  0.6616  0.1994
O  0.4114  0.4114  0.9752
O  0.4114  0.9752  0.4114
O  0.4291  0.9315  0.9315
O  0.4340  0.4340  0.4340
O  0.6616  0.1994  0.1994
O  0.6934  0.1882  0.6934
O  0.6934  0.6934  0.1882
O  0.6941  0.6941  0.6941
O  0.9315  0.4291  0.9315
O  0.9315  0.9315  0.4291
O  0.9334  0.9334  0.9334
O  0.9752  0.4114  0.4114

Principal peaks in the range 5 to 70 degrees two-theta, in order of rising 2θ:
Position (°2θ)  intensity
9.7  48
31.8  77
36.9  86
37.1  100
37.5  53
45.2  63
65.3  80
66.4  68